The following is a computed powder XRD pattern of MgFe3O3F3. It was derived from the GGA+U geometry in the Materials Project, using Cu Kα X-rays.

Atomic structure:
```
MgFe3O3F3
1.0
5.3549 0.0000 0.0000
2.6728 4.6443 0.0000
2.6092 -1.4101 5.2135
Mg Fe O F
1 3 3 3
Direct
0.0000 0.0000 0.0000
0.2461 0.3772 0.1225
0.4795 0.7579 0.2836
0.6421 0.1811 0.5319
0.1199 0.1076 0.2658
0.5066 0.3792 0.2669
0.8469 0.7689 0.2646
0.1861 0.2346 0.8210
0.4046 0.5860 0.8214
0.7642 0.0143 0.8126
```

Top 12 peaks for 2θ = 10–90°, in order of falling intensity:
| 2theta | intensity |
| --- | --- |
| 33.45 | 100 |
| 17.01 | 60 |
| 34.17 | 41 |
| 34.56 | 39 |
| 35.01 | 37 |
| 59.82 | 35 |
| 38.00 | 33 |
| 59.73 | 28 |
| 37.53 | 25 |
| 22.27 | 25 |
| 22.53 | 25 |
| 49.49 | 24 |

***

The following is a computed powder XRD pattern of Ni3H6SO3. It was derived from the GGA+U geometry in the Materials Project, using Cu Kα X-rays.

Atomic structure:
```
Ni3H6SO3
1.0
6.2610 0.0000 0.0000
-2.4450 7.7342 0.0000
-2.1772 -1.1639 8.4319
Ni H S O
3 6 1 3
Direct
0.0000 0.0000 0.0000
0.0859 0.4757 0.5624
0.5892 0.4831 0.5617
0.1165 0.9666 0.2797
0.1719 0.7046 0.3211
0.2501 0.1581 0.8345
0.2669 0.7118 0.2808
0.4371 0.1731 0.3554
0.4996 0.1358 0.4223
0.0475 0.0262 0.7681
0.3319 0.4097 0.6192
0.8484 0.5517 0.5065
0.9855 0.9681 0.1939
```

Top 12 peaks for 2θ = 10–90°, in order of falling intensity:
| 2theta | intensity |
| --- | --- |
| 16.66 | 100 |
| 14.52 | 93 |
| 10.49 | 54 |
| 23.22 | 49 |
| 16.03 | 36 |
| 21.06 | 33 |
| 15.45 | 27 |
| 32.37 | 21 |
| 33.71 | 17 |
| 38.18 | 17 |
| 22.64 | 15 |
| 35.32 | 13 |

***

The following is a computed powder XRD pattern of Li9Mn2Co5O16. It was derived from the GGA+U geometry in the Materials Project, using Cu Kα X-rays.

Atomic structure:
```
Li9Mn2Co5O16
1.0
5.8683 -2.8995 0.0000
5.8683 2.8995 0.0000
-0.0993 0.0000 8.4045
Li Mn Co O
9 2 5 16
Direct
0.0000 0.0000 0.0000
0.9998 0.9998 0.4892
0.1243 0.6303 0.2382
0.2482 0.2482 0.9989
0.3697 0.8774 0.7525
0.5019 0.5019 0.4870
0.6303 0.1243 0.2382
0.7500 0.7500 0.0019
0.8774 0.3697 0.7525
0.1259 0.6275 0.7476
0.6275 0.1259 0.7476
0.2478 0.2478 0.4856
0.3684 0.8709 0.2339
0.5007 0.5007 0.9974
0.7464 0.7464 0.4859
0.8709 0.3684 0.2339
0.0058 0.0058 0.2507
0.1155 0.6165 0.5133
0.1491 0.6191 0.9742
0.2449 0.2449 0.2485
0.2622 0.2622 0.7428
0.3820 0.8837 0.4921
0.3836 0.8533 0.0045
0.4875 0.4875 0.7356
0.5016 0.5016 0.2490
0.6165 0.1155 0.5133
0.6191 0.1491 0.9742
0.7463 0.7463 0.2523
0.7643 0.7643 0.7498
0.8533 0.3836 0.0045
0.8837 0.3820 0.4921
0.9864 0.9864 0.7407
```

Top 12 peaks for 2θ = 10–90°, in order of falling intensity:
| 2theta | intensity |
| --- | --- |
| 18.34 | 100 |
| 43.90 | 54 |
| 43.05 | 29 |
| 36.23 | 26 |
| 63.45 | 22 |
| 62.88 | 15 |
| 35.68 | 15 |
| 37.66 | 11 |
| 47.60 | 10 |
| 57.80 | 9 |
| 64.25 | 8 |
| 80.49 | 7 |

***

The following is a computed powder XRD pattern of GdVSe2O8. It was derived from the GGA+U geometry in the Materials Project, using Cu Kα X-rays.

Atomic structure:
```
GdVSe2O8
1.0
6.8362 0.0000 0.0000
0.0000 7.0586 0.0000
-0.2947 0.0000 13.6319
Gd V Se O
4 4 8 32
Direct
0.0775 0.2500 0.0691
0.3764 0.7500 0.1365
0.6236 0.2500 0.8635
0.9225 0.7500 0.9309
0.3735 0.0089 0.6138
0.3735 0.4911 0.6138
0.6265 0.5089 0.3862
0.6265 0.9911 0.3862
0.0380 0.2500 0.3508
0.1068 0.2500 0.8396
0.2068 0.7500 0.4073
0.4507 0.7500 0.8618
0.5493 0.2500 0.1382
0.7932 0.2500 0.5927
0.8932 0.7500 0.1604
0.9620 0.7500 0.6492
0.0181 0.7500 0.7705
0.0281 0.5768 0.0993
0.0281 0.9232 0.0993
0.0940 0.5548 0.6054
0.0940 0.9452 0.6054
0.2115 0.7500 0.2834
0.2908 0.7500 0.9590
0.3016 0.2500 0.5719
0.3058 0.2500 0.9190
0.3606 0.5549 0.4377
0.3606 0.9451 0.4377
0.3791 0.0745 0.1077
0.3791 0.4255 0.1077
0.4133 0.0625 0.7310
0.4133 0.4375 0.7310
0.4240 0.7500 0.6169
0.5760 0.2500 0.3831
0.5867 0.5625 0.2690
0.5867 0.9375 0.2690
0.6209 0.5745 0.8923
0.6209 0.9255 0.8923
0.6394 0.0549 0.5623
0.6394 0.4451 0.5623
0.6942 0.7500 0.0810
0.6984 0.7500 0.4281
0.7092 0.2500 0.0410
0.7885 0.2500 0.7166
0.9060 0.0548 0.3946
0.9060 0.4452 0.3946
0.9719 0.0768 0.9007
0.9719 0.4232 0.9007
0.9819 0.2500 0.2295
```

Top 12 peaks for 2θ = 10–90°, in order of falling intensity:
| 2theta | intensity |
| --- | --- |
| 26.12 | 100 |
| 29.90 | 59 |
| 25.23 | 50 |
| 29.02 | 47 |
| 29.10 | 30 |
| 32.18 | 25 |
| 34.59 | 25 |
| 34.91 | 24 |
| 55.30 | 22 |
| 47.47 | 21 |
| 23.27 | 20 |
| 19.31 | 19 |

***

The following is a computed powder XRD pattern of Li2Ni2SbO6. It was derived from the GGA+U geometry in the Materials Project, using Cu Kα X-rays.

Atomic structure:
```
Li2Ni2SbO6
1.0
4.4668 -2.6387 0.0000
4.4668 2.6387 0.0000
0.0000 0.0000 10.0563
Li Ni Sb O
4 4 2 12
Direct
0.1446 0.3554 0.2500
0.3554 0.1446 0.7500
0.6446 0.8554 0.2500
0.8554 0.6446 0.7500
0.1650 0.1650 0.0000
0.3350 0.3350 0.5000
0.6650 0.6650 0.5000
0.8350 0.8350 0.0000
0.0000 0.0000 0.5000
0.5000 0.5000 0.0000
0.0224 0.3173 0.6107
0.1703 0.8297 0.0996
0.1827 0.4776 0.8893
0.3173 0.0224 0.3893
0.3297 0.6703 0.5996
0.4776 0.1827 0.1107
0.5224 0.8173 0.8893
0.6703 0.3297 0.4004
0.6827 0.9776 0.6107
0.8173 0.5224 0.1107
0.8297 0.1703 0.9004
0.9776 0.6827 0.3893
```

Top 12 peaks for 2θ = 10–90°, in order of falling intensity:
| 2theta | intensity |
| --- | --- |
| 17.64 | 100 |
| 35.75 | 49 |
| 44.15 | 39 |
| 38.53 | 22 |
| 58.03 | 19 |
| 61.96 | 18 |
| 75.71 | 14 |
| 50.12 | 14 |
| 33.97 | 13 |
| 21.46 | 11 |
| 67.91 | 7 |
| 65.37 | 6 |

***

The following is a computed powder XRD pattern of Ca9Y3Co4O24. It was derived from the GGA+U geometry in the Materials Project, using Cu Kα X-rays.

Atomic structure:
```
Ca9Y3Co4O24
1.0
6.3075 0.0000 0.0000
0.0194 8.8509 0.0000
0.1971 0.0401 9.0392
Ca Y Co O
9 3 4 24
Direct
0.0000 0.0000 0.0000
0.0014 0.4985 0.5006
0.2194 0.6414 0.1423
0.3599 0.9619 0.3207
0.3618 0.4664 0.8230
0.7165 0.4999 0.1439
0.7186 0.9994 0.6422
0.8573 0.1800 0.3216
0.8597 0.6804 0.8212
0.2168 0.1434 0.6411
0.5018 0.1427 0.0005
0.5018 0.6420 0.5008
0.1052 0.3221 0.0695
0.1064 0.8203 0.5698
0.6122 0.3202 0.5743
0.6117 0.8204 0.0739
0.0387 0.4887 0.9632
0.0445 0.9962 0.4636
0.0445 0.4217 0.2463
0.0484 0.9298 0.7440
0.1798 0.2100 0.8898
0.1800 0.7129 0.3974
0.1885 0.1512 0.1721
0.1897 0.6511 0.6765
0.3288 0.3901 0.5700
0.3358 0.8941 0.0651
0.3918 0.8887 0.5740
0.3927 0.3848 0.0716
0.5288 0.1505 0.4687
0.5355 0.6516 0.9654
0.5414 0.2116 0.7503
0.5437 0.7152 0.2522
0.6708 0.4297 0.3994
0.6729 0.9309 0.8983
0.6762 0.9983 0.1789
0.6767 0.4973 0.6782
0.8233 0.2518 0.0665
0.8243 0.7528 0.5663
0.8852 0.7539 0.0768
0.8959 0.2503 0.5772
```

Top 12 peaks for 2θ = 10–90°, in order of falling intensity:
| 2theta | intensity |
| --- | --- |
| 19.66 | 100 |
| 35.11 | 59 |
| 31.37 | 45 |
| 31.52 | 45 |
| 47.93 | 43 |
| 35.05 | 33 |
| 47.76 | 30 |
| 19.77 | 25 |
| 45.68 | 18 |
| 47.63 | 15 |
| 14.02 | 12 |
| 20.05 | 12 |

***

The following is a computed powder XRD pattern of K4V2S4O19. It was derived from the GGA+U geometry in the Materials Project, using Cu Kα X-rays.

Atomic structure:
```
K4V2S4O19
1.0
7.9620 0.0000 0.0000
3.4564 10.1604 0.0000
3.0506 1.9657 11.7094
K V S O
8 4 8 38
Direct
0.0645 0.1650 0.0501
0.2043 0.6520 0.5542
0.3056 0.4553 0.1445
0.4064 0.0330 0.3415
0.5936 0.9670 0.6585
0.6944 0.5447 0.8555
0.7957 0.3480 0.4458
0.9355 0.8350 0.9499
0.1179 0.2234 0.6884
0.4490 0.2861 0.8010
0.5510 0.7139 0.1990
0.8821 0.7766 0.3116
0.0786 0.9982 0.6504
0.1945 0.5251 0.8608
0.2997 0.3181 0.4723
0.4221 0.8246 0.0046
0.5779 0.1754 0.9954
0.7003 0.6819 0.5277
0.8055 0.4749 0.1392
0.9214 0.0018 0.3496
0.0141 0.1438 0.5924
0.0444 0.6004 0.8019
0.0649 0.7078 0.2287
0.0720 0.0545 0.2874
0.1213 0.3677 0.5647
0.1741 0.0246 0.7360
0.1737 0.3971 0.9328
0.2092 0.9161 0.5708
0.2346 0.9024 0.0073
0.2408 0.3227 0.3672
0.2495 0.6060 0.9190
0.2911 0.2257 0.7589
0.3629 0.4749 0.7628
0.3755 0.1785 0.5277
0.3777 0.7421 0.3013
0.4093 0.4070 0.4626
0.4381 0.6842 0.0766
0.4668 0.1837 0.1088
0.4877 0.1252 0.9215
0.5123 0.8748 0.0785
0.5332 0.8163 0.8912
0.5619 0.3158 0.9234
0.5907 0.5930 0.5374
0.6223 0.2579 0.6987
0.6245 0.8215 0.4723
0.6371 0.5251 0.2372
0.7089 0.7743 0.2411
0.7505 0.3940 0.0810
0.7592 0.6773 0.6328
0.7654 0.0976 0.9927
0.7908 0.0839 0.4292
0.8263 0.6029 0.0672
0.8259 0.9754 0.2640
0.8787 0.6323 0.4353
0.9280 0.9455 0.7126
0.9351 0.2922 0.7713
0.9556 0.3996 0.1981
0.9859 0.8562 0.4076
```

Top 12 peaks for 2θ = 10–90°, in order of falling intensity:
| 2theta | intensity |
| --- | --- |
| 26.51 | 100 |
| 25.83 | 98 |
| 12.54 | 57 |
| 29.93 | 45 |
| 41.49 | 44 |
| 15.32 | 40 |
| 16.68 | 31 |
| 23.81 | 30 |
| 23.18 | 29 |
| 28.06 | 26 |
| 38.33 | 26 |
| 24.46 | 25 |

***

The following is a computed powder XRD pattern of Ba2MgNiMoO6. It was derived from the GGA+U geometry in the Materials Project, using Cu Kα X-rays.

Atomic structure:
```
Ba2MgNiMoO6
1.0
5.3839 -3.0708 0.0000
5.3839 3.0708 0.0000
-2.7635 0.0000 5.7615
Ba Mg Ni Mo O
2 1 1 1 6
Direct
0.0000 0.0000 0.0000
0.6151 0.6151 0.7394
0.3836 0.3836 0.0942
0.7715 0.7715 0.2723
0.2372 0.2372 0.5824
0.0253 0.5833 0.0730
0.0487 0.5700 0.5541
0.0823 0.0823 0.6249
0.5642 0.5642 0.1063
0.5700 0.0487 0.5541
0.5833 0.0253 0.0730
```

Top 12 peaks for 2θ = 10–90°, in order of falling intensity:
| 2theta | intensity |
| --- | --- |
| 29.05 | 100 |
| 31.85 | 48 |
| 28.72 | 35 |
| 41.33 | 25 |
| 20.21 | 24 |
| 51.50 | 17 |
| 31.24 | 13 |
| 53.32 | 12 |
| 49.21 | 12 |
| 60.31 | 11 |
| 15.38 | 11 |
| 34.55 | 9 |